(1)
Structure and simulated powder diffraction line list of Th4Fe13Sn5 (a cell relaxed with PBE; a wavelength of 1.5418 Å).
No peak broadening, texture or thermal motion is included.

Atomic structure:
```
data_Th4Fe13Sn5
_chemical_formula_sum 'Th8 Fe26 Sn10'
_symmetry_space_group_name_H-M 'P 4/m b m'
_symmetry_Int_Tables_number 127
_symmetry_space_group_name_Hall '-P 4 2ab'
_cell_length_a 8.2352
_cell_length_b 8.2352
_cell_length_c 12.0589
_cell_angle_alpha 90.00
_cell_angle_beta 90.00
_cell_angle_gamma 90.00
loop_
_atom_site_label
_atom_site_fract_x
_atom_site_fract_y
_atom_site_fract_z
Th1 0.0000 0.0000 0.2158
Th2 0.1553 0.3447 0.5000
Fe1 0.0000 0.5000 0.0000
Fe2 0.0676 0.2067 0.0000
Fe3 0.1246 0.3754 0.1798
Fe4 0.1760 0.6760 0.1064
Sn1 0.0000 0.0000 0.5000
Sn2 0.1464 0.6464 0.3182
```

Principal peaks in the range 10° ≤ 2θ ≤ 90°, in order of rising 2θ:
| index | 2θ (°) | I (rel.) |
| --- | --- | --- |
| 2 1 2 | 28.4 | 59 |
| 2 2 0 | 30.7 | 22 |
| 2 1 3 | 33.0 | 86 |
| 3 1 0 | 34.4 | 100 |
| 2 1 4 | 38.6 | 35 |
| 3 1 3 | 41.3 | 38 |
| 4 1 1 | 46.1 | 24 |
| 4 2 0 | 49.5 | 23 |
| 3 1 7 | 64.9 | 26 |
| 5 2 3 | 65.3 | 20 |

(2)
Structure and simulated powder diffraction line list of MgSbF5 (a cell relaxed with PBE; a wavelength of 1.5418 Å).
No peak broadening, texture or thermal motion is included.

Atomic structure:
```
data_MgSbF5
_chemical_formula_sum 'Mg4 Sb4 F20'
_symmetry_space_group_name_H-M 'P 1 21/c 1'
_symmetry_Int_Tables_number 14
_cell_length_a 5.6772
_cell_length_b 10.1510
_cell_length_c 8.0637
_cell_angle_alpha 90.00
_cell_angle_beta 120.02
_cell_angle_gamma 90.00
loop_
_symmetry_equiv_pos_as_xyz
'x,y,z'
'-x,-y,-z'
'-x,y+1/2,-z+1/2'
'x,-y+1/2,z+1/2'
loop_
_atom_site_label
_atom_site_fract_x
_atom_site_fract_y
_atom_site_fract_z
Mg1 0.0267 0.0261 0.3109
Sb1 0.4384 0.7230 0.6690
F1 0.1355 0.6027 0.0332
F2 0.1974 0.6750 0.3869
F3 0.1982 0.5688 0.6848
F4 0.3170 0.0781 0.8363
F5 0.3380 0.1540 0.4371
```

Principal peaks in the range 10° ≤ 2θ ≤ 90°, in order of rising 2θ:
| index | 2θ (°) | I (rel.) |
| --- | --- | --- |
| 0 2 0 | 17.5 | 40 |
| 1 0 0 | 18.0 | 38 |
| 1 1 0 | 20.1 | 31 |
| 1 2 -1 | 23.8 | 25 |
| 1 1 -2 | 24.3 | 37 |
| 1 2 0 | 25.2 | 100 |
| 0 1 2 | 27.0 | 66 |
| 1 2 -2 | 28.8 | 33 |
| 2 2 -2 | 37.0 | 32 |
| 1 1 2 | 39.4 | 27 |

(3)
Structure and simulated powder diffraction line list of SrI2O6 (a cell relaxed with PBE; a wavelength of 1.5418 Å).
No peak broadening, texture or thermal motion is included.

Atomic structure:
```
data_SrI2O6
_chemical_formula_sum 'Sr4 I8 O24'
_symmetry_space_group_name_H-M 'P 21 21 21'
_symmetry_Int_Tables_number 19
_cell_length_a 6.0419
_cell_length_b 6.2107
_cell_length_c 18.1290
_cell_angle_alpha 90.00
_cell_angle_beta 90.00
_cell_angle_gamma 90.00
loop_
_symmetry_equiv_pos_as_xyz
'x,y,z'
'-x+1/2,-y,z+1/2'
'x+1/2,-y+1/2,-z'
'-x,y+1/2,-z+1/2'
loop_
_atom_site_label
_atom_site_fract_x
_atom_site_fract_y
_atom_site_fract_z
Sr1 0.2095 0.1717 0.0960
I1 0.0290 0.8644 0.9211
I2 0.2468 0.7117 0.2902
O1 0.0008 0.5374 0.2887
O2 0.0308 0.5920 0.5165
O3 0.0529 0.4732 0.8336
O4 0.1072 0.4848 0.6606
O5 0.1576 0.8685 0.3721
O6 0.2018 0.1941 0.5469
```

Principal peaks in the range 10° ≤ 2θ ≤ 90°, in order of rising 2θ:
| index | 2θ (°) | I (rel.) |
| --- | --- | --- |
| 0 1 3 | 20.5 | 53 |
| 1 0 3 | 20.8 | 47 |
| 1 1 1 | 21.1 | 93 |
| 1 1 2 | 22.8 | 74 |
| 1 0 4 | 24.6 | 52 |
| 1 1 3 | 25.3 | 100 |
| 0 1 5 | 28.5 | 53 |
| 2 1 1 | 33.4 | 41 |
| 1 2 4 | 38.2 | 36 |
| 2 1 7 | 48.6 | 34 |